Theoretical powder X-ray diffraction pattern of Sr5Br8Cl2 for a wavelength of 1.5418 Å, from a cell relaxed with PBE.

Structural model:
```
data_Sr5Br8Cl2
_cell_length_a 11.6012
_cell_length_b 11.6012
_cell_length_c 7.1584
_cell_angle_alpha 90.00
_cell_angle_beta 90.00
_cell_angle_gamma 90.00
_symmetry_space_group_name_H-M 'P 4/n'
_symmetry_Int_Tables_number 85
loop_
_symmetry_equiv_pos_as_xyz
'x,y,z'
'-x,-y,-z'
'-y+1/2,x,z'
'y+1/2,-x,-z'
'-x+1/2,-y+1/2,z'
'x+1/2,y+1/2,-z'
'y,-x+1/2,z'
'-y,x+1/2,-z'
loop_
_atom_site_label
_atom_site_type_symbol
_atom_site_fract_x
_atom_site_fract_y
_atom_site_fract_z
Sr1 Sr 0.0932 0.6095 0.2482
Sr2 Sr 0.2500 0.2500 0.1500
Br1 Br 0.0376 0.3469 0.3771
Br2 Br 0.0408 0.1606 0.9018
Cl1 Cl 0.2500 0.7500 0.0000
Cl2 Cl 0.2500 0.7500 0.5000
```

Principal peaks in the range 2θ = 15–90°, sorted by position:
d = 4.201 Å, I 39, hkl 2 1 1; d = 3.265 Å, I 100, hkl 3 1 1; d = 2.946 Å, I 54, hkl 2 1 2; d = 2.935 Å, I 80, hkl 2 3 1; d = 2.619 Å, I 74, hkl 1 4 1; d = 2.594 Å, I 62, hkl 4 2 0; d = 2.562 Å, I 53, hkl 1 3 2; d = 2.168 Å, I 53, hkl 1 2 3

---

Theoretical powder X-ray diffraction pattern of EuFe2 for a wavelength of 1.5418 Å, from a cell relaxed with PBE.

Structural model:
```
data_EuFe2
_cell_length_a 5.5013
_cell_length_b 5.5013
_cell_length_c 8.5363
_cell_angle_alpha 90.00
_cell_angle_beta 90.00
_cell_angle_gamma 120.00
_symmetry_space_group_name_H-M 'P 63/m m c'
_symmetry_Int_Tables_number 194
_symmetry_space_group_name_Hall '-P 6c 2c'
loop_
_atom_site_label
_atom_site_type_symbol
_atom_site_fract_x
_atom_site_fract_y
_atom_site_fract_z
Eu1 Eu 0.3333 0.6667 0.0573
Fe1 Fe 0.0000 0.0000 0.0000
Fe2 Fe 0.1471 0.2943 0.7500
```

Principal peaks in the range 2θ = 15–90°, sorted by position:
d = 3.179 Å, I 25, hkl 1 0 2; d = 2.751 Å, I 69, hkl 1 1 0; d = 2.443 Å, I 75, hkl 1 0 3; d = 2.312 Å, I 100, hkl 1 1 2; d = 2.294 Å, I 48, hkl 2 0 1; d = 1.522 Å, I 43, hkl 2 1 3; d = 1.488 Å, I 26, hkl 3 0 2; d = 1.388 Å, I 27, hkl 2 0 5

---

Theoretical powder X-ray diffraction pattern of K2Si4O9 for a wavelength of 1.5418 Å, from a cell relaxed with PBE.

Structural model:
```
data_K2Si4O9
_cell_length_a 6.7051
_cell_length_b 6.7051
_cell_length_c 9.6365
_cell_angle_alpha 90.00
_cell_angle_beta 90.00
_cell_angle_gamma 120.00
_symmetry_space_group_name_H-M 'P 63/m'
_symmetry_Int_Tables_number 176
_symmetry_space_group_name_Hall '-P 6c'
loop_
_atom_site_label
_atom_site_type_symbol
_atom_site_fract_x
_atom_site_fract_y
_atom_site_fract_z
K1 K 0.3333 0.6667 0.0584
Si1 Si 0.0000 0.0000 0.0000
Si2 Si 0.1339 0.3657 0.7500
O1 O 0.0259 0.2331 0.6059
O2 O 0.0733 0.5802 0.7500
```

Principal peaks in the range 2θ = 15–90°, sorted by position:
d = 3.166 Å, I 24, hkl 1 1 1; d = 2.811 Å, I 73, hkl 1 0 3; d = 2.780 Å, I 70, hkl 2 0 1; d = 2.752 Å, I 100, hkl 1 1 2; d = 2.140 Å, I 28, hkl 1 2 1; d = 1.796 Å, I 20, hkl 3 0 2; d = 1.606 Å, I 26, hkl 0 0 6; d = 1.440 Å, I 23, hkl 3 1 3

---

Theoretical powder X-ray diffraction pattern of Tl3In for a wavelength of 1.5418 Å, from a cell relaxed with PBE.

Structural model:
```
data_Tl3In
_cell_length_a 4.0755
_cell_length_b 5.5675
_cell_length_c 10.7547
_cell_angle_alpha 90.00
_cell_angle_beta 90.00
_cell_angle_gamma 90.00
_symmetry_space_group_name_H-M 'C m m m'
_symmetry_Int_Tables_number 65
_symmetry_space_group_name_Hall '-C 2 2'
loop_
_atom_site_label
_atom_site_type_symbol
_atom_site_fract_x
_atom_site_fract_y
_atom_site_fract_z
Tl1 Tl 0.0000 0.0000 0.0000
Tl2 Tl 0.0000 0.5000 0.2647
In1 In 0.0000 0.0000 0.5000
```

Principal peaks in the range 2θ = 15–90°, sorted by position:
d = 2.806 Å, I 100, hkl 1 1 2; d = 2.784 Å, I 25, hkl 0 2 0; d = 2.689 Å, I 21, hkl 0 0 4; d = 1.934 Å, I 16, hkl 0 2 4; d = 1.644 Å, I 11, hkl 2 2 0; d = 1.611 Å, I 19, hkl 1 3 2; d = 1.574 Å, I 16, hkl 1 1 6; d = 1.403 Å, I 12, hkl 2 2 4

---

Theoretical powder X-ray diffraction pattern of HfSiTe for a wavelength of 1.5418 Å, from a cell relaxed with PBE.

Structural model:
```
data_HfSiTe
_cell_length_a 3.6627
_cell_length_b 3.6627
_cell_length_c 10.3382
_cell_angle_alpha 90.00
_cell_angle_beta 90.00
_cell_angle_gamma 90.00
_symmetry_space_group_name_H-M 'P 4/n m m'
_symmetry_Int_Tables_number 129
loop_
_symmetry_equiv_pos_as_xyz
'x,y,z'
'-x,-y,-z'
'-y+1/2,x,z'
'y+1/2,-x,-z'
'-x+1/2,-y+1/2,z'
'x+1/2,y+1/2,-z'
'y,-x+1/2,z'
'-y,x+1/2,-z'
'x+1/2,-y,-z'
'-x+1/2,y,z'
'-y,-x,-z'
'y,x,z'
'-x,y+1/2,-z'
'x,-y+1/2,z'
'y+1/2,x+1/2,-z'
'-y+1/2,-x+1/2,z'
loop_
_atom_site_label
_atom_site_type_symbol
_atom_site_fract_x
_atom_site_fract_y
_atom_site_fract_z
Hf1 Hf 0.2500 0.2500 0.2035
Si1 Si 0.2500 0.7500 0.0000
Te1 Te 0.2500 0.2500 0.6613
```

Principal peaks in the range 2θ = 15–90°, sorted by position:
d = 5.169 Å, I 63, hkl 0 0 2; d = 2.988 Å, I 100, hkl 1 0 2; d = 2.590 Å, I 58, hkl 1 1 0; d = 2.316 Å, I 60, hkl 1 1 2; d = 2.112 Å, I 59, hkl 1 0 4; d = 1.831 Å, I 31, hkl 2 0 0; d = 1.561 Å, I 36, hkl 2 1 2; d = 1.384 Å, I 30, hkl 2 1 4